Structure and simulated X-ray powder pattern of Li2MgBr4 (a DFT-relaxed cell (GGA-PBE, Alexandria); Cu Kα, 1.54184 Å).
Kinematic intensities with the Lorentz-polarization factor, no thermal factor.

Atomic structure:
Cell lengths 7.8258, 7.8258, 11.1333 Å; angles 90.00, 90.00, 90.00 degrees
Fractional coordinates of all 28 atoms:
Li1 0.0000 0.2488 0.0000
Li2 0.0000 0.2505 0.5000
Li3 0.0000 0.7495 0.0000
Li4 0.0000 0.7512 0.5000
Li5 0.2488 0.0000 0.2500
Li6 0.2505 0.0000 0.7500
Li7 0.7495 0.0000 0.2500
Li8 0.7512 0.0000 0.7500
Mg1 0.2498 0.5000 0.7500
Mg2 0.5000 0.2498 0.5000
Mg3 0.5000 0.7502 0.0000
Mg4 0.7502 0.5000 0.2500
Br1 0.0116 0.2480 0.7583
Br2 0.0116 0.7520 0.7417
Br3 0.2480 0.0116 0.4917
Br4 0.2480 0.9884 0.0083
Br5 0.2491 0.4927 0.5120
Br6 0.2491 0.5073 0.9880
Br7 0.4927 0.2491 0.7380
Br8 0.4927 0.7509 0.7620
Br9 0.5073 0.2491 0.2620
Br10 0.5073 0.7509 0.2380
Br11 0.7509 0.4927 0.4880
Br12 0.7509 0.5073 0.0120
Br13 0.7520 0.0116 0.5083
Br14 0.7520 0.9884 0.9917
Br15 0.9884 0.2480 0.2417
Br16 0.9884 0.7520 0.2583

Top 6 peaks for 10 to 80 degrees two-theta, sorted by position:
2theta, d [Å], intensity, hkl
27.87, 3.201, 100, 2 0 2
32.16, 2.783, 26, 0 0 4
32.36, 2.767, 53, 2 2 0
46.27, 1.962, 36, 2 2 4
46.41, 1.956, 19, 4 0 0
55.01, 1.669, 28, 4 2 2